# 1
Simulated X-ray diffraction stick pattern
Compound: K2RbMgF5
Radiation: Cu Kα X-rays
Structure: a crystal structure in Alexandria, relaxed with PBE

The 10 most intense peaks (10° ≤ 2θ ≤ 90°), sorted by position:
| d [Å] | 2θ/deg | I/Imax |
| --- | --- | --- |
| 6.174 | 14.3 | 20 |
| 3.435 | 25.9 | 25 |
| 3.119 | 28.6 | 19 |
| 2.974 | 30.1 | 100 |
| 2.422 | 37.1 | 46 |
| 2.194 | 41.1 | 48 |
| 2.108 | 42.9 | 29 |
| 2.022 | 44.8 | 23 |
| 1.771 | 51.6 | 20 |
| 1.487 | 62.5 | 24 |

Cell and atoms:
a = 4.044 Å, b = 6.238 Å, c = 12.347 Å
α = 90.00°, β = 90.00°, γ = 90.00°
Space group Immm (No. 71)
Symmetry-distinct sites (fractional):
K 0.000 0.000 0.216
Rb 0.000 0.500 0.000
Mg 0.000 0.500 0.500
F 0.000 0.000 0.000
F 0.000 0.273 0.380

---

# 2
Simulated X-ray diffraction stick pattern
Compound: KMgScF6
Radiation: Cu Kα X-rays
Structure: a crystal structure in Alexandria, relaxed with PBE

The 10 most intense peaks (10° ≤ 2θ ≤ 90°), sorted by position:
| d [Å] | 2θ/deg | I/Imax |
| --- | --- | --- |
| 6.236 | 14.2 | 64 |
| 6.056 | 14.6 | 42 |
| 5.339 | 16.6 | 35 |
| 3.243 | 27.5 | 100 |
| 3.229 | 27.6 | 30 |
| 3.167 | 28.2 | 30 |
| 3.028 | 29.5 | 51 |
| 2.426 | 37.1 | 20 |
| 2.079 | 43.5 | 38 |
| 1.883 | 48.3 | 34 |

Cell and atoms:
a = 7.352 Å, b = 7.681 Å, c = 10.678 Å
α = 90.00°, β = 90.00°, γ = 90.00°
Space group Imma (No. 74)
Symmetry-distinct sites (fractional):
K 0.000 0.250 0.060
Mg 0.250 0.250 0.750
Sc 0.000 0.000 0.500
F 0.000 0.250 0.429
F 0.000 0.250 0.811
F 0.202 0.063 0.620

---

# 3
Simulated X-ray diffraction stick pattern
Compound: KMg2ScF8
Radiation: Cu Kα X-rays
Structure: a crystal structure in Alexandria, relaxed with PBE

The 10 most intense peaks (10° ≤ 2θ ≤ 90°), sorted by position:
| d [Å] | 2θ/deg | I/Imax |
| --- | --- | --- |
| 4.306 | 20.6 | 45 |
| 3.805 | 23.4 | 100 |
| 3.293 | 27.1 | 58 |
| 3.044 | 29.3 | 64 |
| 2.405 | 37.4 | 65 |
| 2.367 | 38.0 | 28 |
| 2.133 | 42.4 | 22 |
| 1.849 | 49.3 | 25 |
| 1.830 | 49.8 | 33 |
| 1.646 | 55.8 | 24 |

Cell and atoms:
a = 7.731 Å, b = 6.586 Å, c = 7.151 Å
α = 90.00°, β = 100.13°, γ = 90.00°
Space group C2/m (No. 12)
Symmetry-distinct sites (fractional):
K 0.000 0.000 0.000
Mg 0.043 0.500 0.225
Sc 0.000 0.000 0.500
F 0.008 0.221 0.704
F 0.159 0.500 0.000
F 0.236 0.500 0.444

---

# 4
Simulated X-ray diffraction stick pattern
Compound: K2MgScF6
Radiation: Cu Kα X-rays
Structure: a crystal structure in Alexandria, relaxed with PBE

The 10 most intense peaks (10° ≤ 2θ ≤ 90°), sorted by position:
| d [Å] | 2θ/deg | I/Imax |
| --- | --- | --- |
| 3.095 | 28.8 | 30 |
| 2.953 | 30.3 | 100 |
| 2.892 | 30.9 | 24 |
| 2.477 | 36.3 | 38 |
| 2.368 | 38.0 | 34 |
| 2.113 | 42.8 | 100 |
| 2.064 | 43.9 | 47 |
| 1.758 | 52.0 | 20 |
| 1.681 | 54.6 | 26 |
| 1.477 | 62.9 | 52 |

Cell and atoms:
a = 5.783 Å, b = 6.191 Å, c = 8.257 Å
α = 90.00°, β = 90.00°, γ = 90.00°
Space group Immm (No. 71)
Symmetry-distinct sites (fractional):
K 0.000 0.000 0.247
Mg 0.000 0.500 0.500
Sc 0.000 0.500 0.000
F 0.000 0.500 0.253
F 0.249 0.227 0.000

---

# 5
Simulated X-ray diffraction stick pattern
Compound: K2Mg3ScF12
Radiation: Cu Kα X-rays
Structure: a crystal structure in Alexandria, relaxed with PBE

The 10 most intense peaks (10° ≤ 2θ ≤ 90°), sorted by position:
| d [Å] | 2θ/deg | I/Imax |
| --- | --- | --- |
| 6.012 | 14.7 | 66 |
| 3.197 | 27.9 | 80 |
| 3.154 | 28.3 | 100 |
| 3.133 | 28.5 | 37 |
| 3.006 | 29.7 | 53 |
| 2.619 | 34.2 | 34 |
| 2.004 | 45.3 | 50 |
| 1.870 | 48.7 | 53 |
| 1.835 | 49.7 | 63 |
| 1.592 | 57.9 | 23 |

Cell and atoms:
a = 7.3406 Å, b = 7.3406 Å, c = 18.4933 Å
α = 90.00°, β = 90.00°, γ = 120.00°
Space group R-3m (No. 166, hexagonal axes)
Symmetry-distinct sites (fractional):
K 0.0000 0.0000 0.1110
Mg 0.0000 0.5000 0.0000
Sc 0.0000 0.0000 0.5000
F 0.0682 0.5341 0.1059
F 0.0675 0.5338 0.3560

---

# 6
Simulated X-ray diffraction stick pattern
Compound: K2TbMgF6
Radiation: Cu Kα X-rays
Structure: a crystal structure in Alexandria, relaxed with PBE

The 10 most intense peaks (10° ≤ 2θ ≤ 90°), sorted by position:
| d [Å] | 2θ/deg | I/Imax |
| --- | --- | --- |
| 5.203 | 17.0 | 35 |
| 4.814 | 18.4 | 64 |
| 4.327 | 20.5 | 72 |
| 3.261 | 27.3 | 33 |
| 3.058 | 29.2 | 100 |
| 2.700 | 33.2 | 26 |
| 2.533 | 35.4 | 23 |
| 2.167 | 41.7 | 52 |
| 2.157 | 41.9 | 26 |
| 1.841 | 49.5 | 24 |

Cell and atoms:
a = 10.380 Å, b = 6.523 Å, c = 5.801 Å
α = 90.00°, β = 123.78°, γ = 90.00°
Space group C2/m (No. 12)
Symmetry-distinct sites (fractional):
K 0.231 0.000 0.231
Tb 0.000 0.500 0.000
Mg 0.000 0.000 0.500
F 0.001 0.213 0.240
F 0.241 0.000 0.740